Record 1
KCd2Fe: simulated powder diffractogram (Cu Ka), based on a GGA-PBE-relaxed structure.
Peak positions follow from Bragg's law for the DFT cell and can differ from measured ones.

Largest 6 diffraction maxima, sorted by position, 2θ from 15° to 90°:
2θ = 31.6°, intensity 90
2θ = 37.2°, intensity 57
2θ = 38.0°, intensity 100
2θ = 40.1°, intensity 47
2θ = 44.8°, intensity 34
2θ = 50.9°, intensity 33

```
KCd2Fe
1.0
2.9827 0.0000 0.0000
0.0000 3.9026 0.0000
0.0000 0.0000 8.2510
K Cd Fe
1 2 1
direct
0.0000 0.0000 0.0000
0.5000 0.5000 0.3222
0.5000 0.5000 0.6778
0.0000 0.0000 0.5000
```

Record 2
LiCdFe2: simulated powder diffractogram (Cu Ka), based on a GGA-PBE-relaxed structure.
Peak positions follow from Bragg's law for the DFT cell and can differ from measured ones.

Largest 6 diffraction maxima, sorted by position, 2θ from 15° to 90°:
2θ = 20.7°, intensity 61
2θ = 39.3°, intensity 51
2θ = 40.1°, intensity 100
2θ = 42.1°, intensity 44
2θ = 45.1°, intensity 31
2θ = 47.9°, intensity 59

```
LiCdFe2
1.0
4.3426 -1.3562 0.0000
4.3426 1.3562 0.0000
-0.7538 0.0000 4.9256
Li Cd Fe
1 1 2
direct
0.0000 0.0000 0.0000
0.7567 0.7567 0.2421
0.2440 0.2440 0.7306
0.5095 0.5095 0.5487
```

Record 3
Mg2CdFe: simulated powder diffractogram (Cu Ka), based on a GGA-PBE-relaxed structure.
Peak positions follow from Bragg's law for the DFT cell and can differ from measured ones.

Largest 6 diffraction maxima, sorted by position, 2θ from 15° to 90°:
2θ = 20.7°, intensity 58
2θ = 36.3°, intensity 27
2θ = 37.8°, intensity 28
2θ = 39.0°, intensity 100
2θ = 53.4°, intensity 17
2θ = 69.1°, intensity 17

```
Mg2CdFe
1.0
-1.5635 2.3786 4.9507
1.5635 -2.3786 4.9507
1.5635 2.3786 -4.9507
Mg Cd Fe
2 1 1
direct
0.0000 0.0000 0.0000
0.7174 0.2174 0.5000
0.4497 0.4497 0.0000
0.2240 0.7240 0.5000
```